Simulated PXRD pattern
Compound: CoTeMoO6
Radiation: Cu Kα
Structure: DFT lattice parameters and positions (GGA+U)
Neutral-atom scattering factors, no anomalous dispersion.

Crystal structure
Unit cell a=5.3550 b=5.3550 c=8.8888 alpha=90.00 beta=90.00 gamma=120.00
Sites, in units of the cell vectors:
1 Co 0.0000 0.0000 0.0000
2 Co 0.0000 0.0000 0.5000
3 Te 0.3333 0.6667 0.2500
4 Te 0.6667 0.3333 0.7500
5 Mo 0.3333 0.6667 0.7500
6 Mo 0.6667 0.3333 0.2500
7 O 0.0255 0.3574 0.6302
8 O 0.0255 0.6680 0.8698
9 O 0.3320 0.3574 0.8698
10 O 0.3320 0.9745 0.6302
11 O 0.3574 0.0255 0.1302
12 O 0.3574 0.3320 0.3698
13 O 0.6426 0.6680 0.6302
14 O 0.6426 0.9745 0.8698
15 O 0.6680 0.0255 0.3698
16 O 0.6680 0.6426 0.1302
17 O 0.9745 0.3320 0.1302
18 O 0.9745 0.6426 0.3698

Top 12 peaks for 5 to 70 degrees two-theta, sorted by position:
| 2theta | intensity | index |
| --- | --- | --- |
| 19.14 | 12 | 1 0 0 |
| 19.98 | 34 | 0 0 2 |
| 27.80 | 100 | 1 0 2 |
| 33.47 | 56 | 1 1 0 |
| 39.28 | 40 | 1 1 2 |
| 40.60 | 7 | 0 0 4 |
| 44.05 | 28 | 2 0 2 |
| 53.59 | 54 | 1 1 4 |
| 56.43 | 26 | 2 1 2 |
| 59.83 | 23 | 3 0 0 |
| 63.74 | 8 | 3 0 2 |
| 66.22 | 8 | 1 0 6 |